(1)
This entry pairs a crystal structure of Bi2Te5Pb2 with its computed X-ray diffraction stick pattern. Radiation: CuKα. Structure: a PBE-relaxed structure.

Structure:
Lattice parameters (Å, degrees): 4.5193 4.5193 18.4068 90.00 90.00 120.00
Space group P-3m1 (No. 164)
One atom of each set of equivalent atoms:
Bi 0.3333 0.6667 0.1096 x2
Te 0.0000 0.0000 0.0000 x1
Te 0.3333 0.6667 0.4275 x2
Te 0.3333 0.6667 0.7985 x2
Pb 0.0000 0.0000 0.3407 x2

Main lines, low angle first (10° ≤ 2θ ≤ 80°):
index	Position (°2θ)	I (rel.)
0 0 4	19.29	91
0 1 3	27.02	1000
1 0 6	37.24	375
1 1 0	39.90	376
0 1 7	41.37	93
1 1 4	44.68	68
2 0 3	48.85	202
0 2 6	55.71	119
1 1 9	61.12	139
1 2 3	64.83	174
2 1 6	70.70	123
3 0 0	72.44	66

---

(2)
This entry pairs a crystal structure of Bi3Pd5 with its computed X-ray diffraction stick pattern. Radiation: CuKα. Structure: a PBE-relaxed structure.

Structure:
Lattice parameters (Å, degrees): 4.2599 4.2599 11.1881 90.00 90.00 120.00
Space group P-6m2 (No. 187)
One atom of each set of equivalent atoms:
Bi 0.0000 0.0000 0.0000 x1
Bi 0.3333 0.6667 0.2745 x2
Pd 0.0000 0.0000 0.5000 x1
Pd 0.6667 0.3333 0.1292 x2
Pd 0.6667 0.3333 0.3821 x2

Main lines, low angle first (10° ≤ 2θ ≤ 80°):
index	Position (°2θ)	I (rel.)
1 0 1	25.42	72
1 0 2	28.99	1000
1 0 3	34.19	62
1 0 4	40.47	619
1 1 0	42.44	643
1 0 5	47.53	94
2 0 2	52.22	201
1 0 6	55.19	109
2 0 4	60.08	193
2 1 2	69.47	175
2 1 4	76.31	192
3 0 0	77.64	111

---

(3)
This entry pairs a crystal structure of Bi2Pd with its computed X-ray diffraction stick pattern. Radiation: CuKα. Structure: a PBE-relaxed structure.

Structure:
Lattice parameters (Å, degrees): 3.4301 3.4301 12.9942 90.00 90.00 90.00
Space group I4/mmm (No. 139)
One atom of each set of equivalent atoms:
Bi 0.0000 0.0000 0.1358 x4
Pd 0.0000 0.0000 0.5000 x2

Main lines, low angle first (10° ≤ 2θ ≤ 80°):
index	Position (°2θ)	I (rel.)
1 0 1	26.88	217
0 0 4	27.46	164
1 0 3	33.32	1000
1 1 0	37.07	498
1 0 5	43.70	189
1 1 4	46.74	165
2 0 0	53.42	177
1 0 7	56.36	94
1 1 6	57.01	79
2 1 3	64.44	307
1 1 8	69.67	127
2 1 5	71.40	90

---

(4)
This entry pairs a crystal structure of BiPd with its computed X-ray diffraction stick pattern. Radiation: CuKα. Structure: a PBE-relaxed structure.

Structure:
Lattice parameters (Å, degrees): 8.9318 7.2921 10.7994 90.00 90.00 90.00
Space group Cmc2_1 (No. 36)
One atom of each set of equivalent atoms:
Bi 0.0000 0.1227 0.0000 x4
Bi 0.0000 0.3670 0.5050 x4
Bi 0.2305 0.3770 0.7856 x8
Pd 0.0000 0.0906 0.7275 x4
Pd 0.0000 0.3322 0.2343 x4
Pd 0.2456 0.3777 0.0623 x8

Main lines, low angle first (10° ≤ 2θ ≤ 80°):
index	Position (°2θ)	I (rel.)
2 0 2	25.89	218
2 2 1	32.78	1000
0 0 4	33.18	332
0 2 3	35.03	318
2 0 4	38.98	217
4 0 0	40.39	297
2 2 3	40.60	482
0 4 0	50.03	148
4 0 4	53.23	161
2 2 5	53.41	138
4 2 3	54.52	164
0 2 7	65.72	138